# LaBWO6
Simulated powder diffraction line list, Cu Ka. Input: DFT lattice parameters and positions (PBE+U).
Kinematic intensities with the Lorentz-polarization factor, no thermal factor.

Cell and atoms:
```
data_LaBWO6
_space_group_name_H-M_alt 'P 1 21 1'
_space_group_IT_number 4
_cell_length_a 6.1494
_cell_length_b 4.0474
_cell_length_c 9.6557
_cell_angle_alpha 90.00
_cell_angle_beta 100.15
_cell_angle_gamma 90.00
loop_
_space_group_symop_operation_xyz
'x,y,z'
'-x,y+1/2,-z'
loop_
_atom_site_label
_atom_site_type_symbol
_atom_site_fract_x
_atom_site_fract_y
_atom_site_fract_z
_atom_site_occupancy
La1 La 0.1422 0.0000 0.1969 1
B1 B 0.3832 0.5891 0.0013 1
W1 W 0.2866 0.0425 0.6434 1
O1 O 0.0575 0.9896 0.7474 1
O2 O 0.1766 0.4907 0.0046 1
O3 O 0.2300 0.9868 0.4552 1
O4 O 0.2789 0.4983 0.6566 1
O5 O 0.4238 0.4825 0.2706 1
O6 O 0.4423 0.9141 0.0397 1
```

Main lines, low angle first (2θ = 10–90°):
d (Å)  I_rel  hkl
4.749  40.5  0 0 2
4.106  36.9  1 0 -2
3.454  77.9  1 0 2
3.365  100.0  1 1 0
3.274  55.7  1 1 -1
3.081  69.8  0 1 2
3.040  80.0  2 0 -1
2.071  30.8  2 1 -3